Starting from a cell relaxed with PBE, the powder diffraction line list of Zr6MoRh5 was calculated for Cu Ka.

Crystal structure
Unit cell a=4.6594 b=13.9680 c=6.6520 alpha=90.00 beta=90.00 gamma=90.00
Space group Cmmm (No. 65)
Unique sites:
Zr 0.0000 0.0000 0.2493 (multiplicity 4)
Zr 0.0000 0.3340 0.2505 (multiplicity 8)
Mo 0.0000 0.5000 0.0000 (multiplicity 2)
Rh 0.0000 0.1668 0.5000 (multiplicity 4)
Rh 0.0000 0.1680 0.0000 (multiplicity 4)
Rh 0.0000 0.5000 0.5000 (multiplicity 2)

The 6 most intense peaks (10 to 90 degrees two-theta), most intense first:
| d/Å | Position (°2θ) | I/Imax |
| --- | --- | --- |
| 2.340 | 38.47 | 100 |
| 2.329 | 38.66 | 49 |
| 1.347 | 69.84 | 33 |
| 1.353 | 69.45 | 17 |
| 1.647 | 55.83 | 16 |
| 1.170 | 82.42 | 10 |

Starting from a cell relaxed with PBE, the powder diffraction line list of Li2Cd5Sn2Hg2 was calculated for Cu Ka.

Crystal structure
Unit cell a=4.2543 b=4.2543 c=34.4329 alpha=90.00 beta=90.00 gamma=90.00
Space group I4/mmm (No. 139)
Unique sites:
Li 0.0000 0.0000 0.2046 (multiplicity 4)
Cd 0.0000 0.0000 0.5000 (multiplicity 2)
Cd 0.0000 0.5000 0.1454 (multiplicity 8)
Sn 0.0000 0.0000 0.2863 (multiplicity 4)
Hg 0.0000 0.0000 0.4189 (multiplicity 4)

The 6 most intense peaks (10 to 90 degrees two-theta), most intense first:
| d/Å | Position (°2θ) | I/Imax |
| --- | --- | --- |
| 4.222 | 21.04 | 100 |
| 2.265 | 39.79 | 56 |
| 2.664 | 33.64 | 50 |
| 2.127 | 42.50 | 47 |
| 8.608 | 10.28 | 45 |
| 2.462 | 36.50 | 45 |

Starting from a cell relaxed with PBE, the powder diffraction line list of Pr8Hg2Pt3 was calculated for Cu Ka.

Crystal structure
Unit cell a=9.1073 b=5.1295 c=9.1511 alpha=90.00 beta=109.99 gamma=90.00
Space group P2/m (No. 10)
Unique sites:
Pr 0.1131 0.0000 0.3820 (multiplicity 2)
Pr 0.1281 0.5000 0.8626 (multiplicity 2)
Pr 0.3595 0.5000 0.6252 (multiplicity 2)
Pr 0.3833 0.0000 0.1191 (multiplicity 2)
Hg 0.2569 0.5000 0.2425 (multiplicity 2)
Pt 0.0000 0.5000 0.5000 (multiplicity 1)
Pt 0.2662 0.0000 0.7677 (multiplicity 2)

The 6 most intense peaks (10 to 90 degrees two-theta), most intense first:
| d/Å | Position (°2θ) | I/Imax |
| --- | --- | --- |
| 2.621 | 34.22 | 100 |
| 2.612 | 34.33 | 66 |
| 2.565 | 34.99 | 33 |
| 1.832 | 49.76 | 23 |
| 1.510 | 61.41 | 23 |
| 4.230 | 21.00 | 18 |

Starting from a cell relaxed with PBE, the powder diffraction line list of K2Hg3Br8 was calculated for Cu Ka.

Crystal structure
Unit cell a=14.7705 b=10.4798 c=7.0024 alpha=90.00 beta=105.04 gamma=90.00
Space group C2/m (No. 12)
Unique sites:
K 0.2105 0.0000 0.0123 (multiplicity 4)
Hg 0.0000 0.1933 0.5000 (multiplicity 4)
Hg 0.0000 0.5000 0.0000 (multiplicity 2)
Br 0.1073 0.0000 0.3813 (multiplicity 4)
Br 0.1119 0.2762 0.8230 (multiplicity 8)
Br 0.1409 0.5000 0.2870 (multiplicity 4)

The 6 most intense peaks (10 to 90 degrees two-theta), most intense first:
| d/Å | Position (°2θ) | I/Imax |
| --- | --- | --- |
| 3.858 | 23.05 | 100 |
| 7.132 | 12.41 | 75 |
| 5.721 | 15.49 | 63 |
| 2.944 | 30.36 | 46 |
| 4.923 | 18.02 | 31 |
| 2.348 | 38.33 | 28 |